Structure and calculated powder diffraction line list of TlBiPbS3 (DFT lattice parameters and positions (PBE); copper Kα).
No peak broadening, texture or thermal motion is included.

Most intense lines, 2θ from 10° to 90°, in order of rising 2θ:
h k l, Position (°2θ), Rel. int.
0 1 3, 24.97, 79.7
1 1 0, 26.17, 68.8
1 0 3, 29.43, 100.0
0 2 0, 30.00, 48.8
0 0 6, 40.54, 19.6
1 2 3, 42.52, 73.8
1 1 6, 48.89, 30.8
2 1 3, 50.94, 37.8
0 2 6, 51.24, 20.0
1 0 9, 67.04, 20.4

Structure:
Unit cell a=4.150 b=5.957 c=13.352 alpha=90.00 beta=90.00 gamma=90.00
Space group Imm2 (No. 44)
Asymmetric unit:
1 Tl 0.000 0.000 0.000 (multiplicity 2)
2 Bi 0.000 0.000 0.672 (multiplicity 2)
3 Pb 0.000 0.000 0.339 (multiplicity 2)
4 S 0.000 0.500 0.031 (multiplicity 2)
5 S 0.000 0.500 0.320 (multiplicity 2)
6 S 0.000 0.500 0.693 (multiplicity 2)